Diffraction record for Li2Ti2Mn3O10. The XRD peak list is calculated, not measured: it uses a GGA+U-relaxed structure and Cu Kα, 1.54184 Å.
Peak positions follow from Bragg's law for the DFT cell and can differ from measured ones.

Crystal structure
Lattice parameters (Å, degrees): 5.0650 5.1729 7.7251 75.94 76.55 80.99
Sites, in units of the cell vectors:
1 Li 0.0189 0.2645 0.4045
2 Li 0.9811 0.7355 0.5955
3 Ti 0.4907 0.6335 0.3185
4 Ti 0.5093 0.3665 0.6815
5 Mn 0.0000 0.5000 0.0000
6 Mn 0.4833 0.8072 0.8941
7 Mn 0.5167 0.1928 0.1059
8 O 0.2344 0.6823 0.7855
9 O 0.2722 0.4177 0.5162
10 O 0.2825 0.5267 0.1372
11 O 0.2946 0.1539 0.9365
12 O 0.3047 0.9624 0.3284
13 O 0.6953 0.0376 0.6716
14 O 0.7054 0.8461 0.0635
15 O 0.7175 0.4733 0.8628
16 O 0.7278 0.5823 0.4838
17 O 0.7656 0.3177 0.2145

The 10 most intense peaks (15 to 90 degrees two-theta), low angle first:
| 2θ/deg | intensity | hkl |
| --- | --- | --- |
| 17.78 | 416 | 0 1 0 |
| 18.11 | 1000 | 1 0 0 |
| 23.31 | 299 | 1 1 1 |
| 26.88 | 385 | 0 1 2 |
| 27.25 | 208 | 1 0 2 |
| 29.44 | 162 | -1 1 1 |
| 39.65 | 661 | 1 1 -2 |
| 43.01 | 520 | -1 2 1 |
| 45.69 | 465 | 2 1 3 |
| 63.92 | 145 | 3 -1 2 |